# 1
Cu2ClO3: computed powder X-ray diffraction pattern (Cu Kα X-rays), based on DFT lattice parameters and positions (GGA-PBE).
Peak positions follow from Bragg's law for the DFT cell and can differ from measured ones.

Main lines, in order of rising 2θ (10 to 80 degrees two-theta):
(1 0 0), d 5.114, 2θ 17.3, rel. 51
(0 1 1), d 5.053, 2θ 17.6, rel. 100
(1 0 -2), d 4.488, 2θ 19.8, rel. 22
(1 2 0), d 2.687, 2θ 33.3, rel. 24
(2 1 -1), d 2.607, 2θ 34.4, rel. 44
(1 2 -2), d 2.583, 2θ 34.7, rel. 43
(0 1 3), d 2.565, 2θ 35.0, rel. 40
(0 2 2), d 2.526, 2θ 35.5, rel. 19
(2 0 -4), d 2.244, 2θ 40.2, rel. 19
(2 2 -2), d 2.134, 2θ 42.4, rel. 67
(0 0 4), d 2.106, 2θ 43.0, rel. 32
(2 2 2), d 1.582, 2θ 58.3, rel. 34

Cell and atoms:
Unit cell a=5.845 b=6.316 c=9.627 alpha=90.00 beta=118.96 gamma=90.00
Space group P2_1/c (No. 14)
Symmetry-distinct sites (fractional):
Cu 0.000 0.000 0.000 x2
Cu 0.008 0.242 0.251 x4
Cu 0.500 0.000 0.000 x2
Cl 0.306 0.502 0.190 x4
O 0.158 0.513 0.727 x4
O 0.225 0.689 0.467 x4
O 0.251 0.212 0.965 x4

***

# 2
Cu2Cl2O: computed powder X-ray diffraction pattern (Cu Kα X-rays), based on DFT lattice parameters and positions (GGA-PBE).
Peak positions follow from Bragg's law for the DFT cell and can differ from measured ones.

Main lines, in order of rising 2θ (10 to 80 degrees two-theta):
(1 1 1), d 5.212, 2θ 17.0, rel. 100
(2 2 0), d 3.059, 2θ 29.2, rel. 23
(1 3 1), d 2.805, 2θ 31.9, rel. 21
(2 2 2), d 2.606, 2θ 34.4, rel. 70
(3 1 1), d 2.497, 2θ 36.0, rel. 16
(1 3 3), d 2.194, 2θ 41.1, rel. 28
(3 1 3), d 2.037, 2θ 44.5, rel. 22
(1 1 5), d 1.893, 2θ 48.1, rel. 14
(0 4 4), d 1.710, 2θ 53.6, rel. 18
(4 0 4), d 1.565, 2θ 59.0, rel. 16
(4 4 0), d 1.529, 2θ 60.5, rel. 15
(2 2 6), d 1.459, 2θ 63.8, rel. 10

Cell and atoms:
Unit cell a=8.047 b=9.414 c=9.956 alpha=90.00 beta=90.00 gamma=90.00
Space group Fddd (No. 70, origin choice 2)
Symmetry-distinct sites (fractional):
Cu 0.000 0.000 0.000 x16
Cl 0.125 0.125 0.413 x16
O 0.125 0.125 0.125 x8

***

# 3
Cu2ClO3: computed powder X-ray diffraction pattern (Cu Kα X-rays), based on DFT lattice parameters and positions (GGA-PBE).
Peak positions follow from Bragg's law for the DFT cell and can differ from measured ones.

Main lines, in order of rising 2θ (10 to 80 degrees two-theta):
(1 0 1), d 5.071, 2θ 17.5, rel. 100
(0 0 3), d 4.510, 2θ 19.7, rel. 15
(0 2 1), d 2.681, 2θ 33.4, rel. 25
(1 1 3), d 2.587, 2θ 34.7, rel. 82
(2 0 2), d 2.535, 2θ 35.4, rel. 18
(0 0 6), d 2.255, 2θ 40.0, rel. 12
(0 2 4), d 2.127, 2θ 42.5, rel. 68
(2 0 5), d 1.924, 2θ 47.3, rel. 11
(0 3 3), d 1.690, 2θ 54.3, rel. 23
(2 2 0), d 1.579, 2θ 58.5, rel. 33
(2 1 7), d 1.412, 2θ 66.2, rel. 13
(2 2 6), d 1.293, 2θ 73.2, rel. 15

Cell and atoms:
Unit cell a=6.3156 b=6.3156 c=13.5306 alpha=90.00 beta=90.00 gamma=120.00
Space group R-3m (No. 166, hexagonal axes)
Symmetry-distinct sites (fractional):
Cu 0.0000 0.0000 0.0000 x3
Cu 0.0000 0.5000 0.5000 x9
Cl 0.0000 0.0000 0.3066 x6
O 0.0670 0.5335 0.7668 x18

***

# 4
Cu2ClO3: computed powder X-ray diffraction pattern (Cu Kα X-rays), based on DFT lattice parameters and positions (GGA-PBE).
Peak positions follow from Bragg's law for the DFT cell and can differ from measured ones.

Main lines, in order of rising 2θ (10 to 80 degrees two-theta):
(0 1 1), d 5.087, 2θ 17.4, rel. 100
(1 0 1), d 4.762, 2θ 18.6, rel. 64
(1 2 1), d 2.629, 2θ 34.1, rel. 63
(0 1 3), d 2.608, 2θ 34.4, rel. 71
(0 2 2), d 2.543, 2θ 35.3, rel. 17
(2 0 2), d 2.381, 2θ 37.8, rel. 20
(0 0 4), d 2.151, 2θ 42.0, rel. 35
(2 2 0), d 2.118, 2θ 42.7, rel. 47
(2 2 3), d 1.704, 2θ 53.8, rel. 14
(0 4 0), d 1.577, 2θ 58.5, rel. 14
(2 2 4), d 1.509, 2θ 61.4, rel. 24
(1 2 5), d 1.460, 2θ 63.8, rel. 14

Cell and atoms:
Unit cell a=5.718 b=6.307 c=8.604 alpha=90.00 beta=90.00 gamma=90.00
Space group Pnma (No. 62)
Symmetry-distinct sites (fractional):
Cu 0.000 0.000 0.000 x4
Cu 0.189 0.250 0.261 x4
Cl 0.139 0.250 0.551 x4
O 0.058 0.556 0.787 x8
O 0.173 0.250 0.005 x4

***

# 5
Sr2Cu2RuPb2ClO8: computed powder X-ray diffraction pattern (Cu Kα X-rays), based on DFT lattice parameters and positions (GGA-PBE).
Peak positions follow from Bragg's law for the DFT cell and can differ from measured ones.

Main lines, in order of rising 2θ (10 to 80 degrees two-theta):
(3 0 0), d 5.114, 2θ 17.3, rel. 14
(0 1 1), d 3.927, 2θ 22.6, rel. 14
(1 1 1), d 3.805, 2θ 23.4, rel. 23
(0 2 0), d 2.782, 2θ 32.2, rel. 26
(0 0 2), d 2.772, 2θ 32.3, rel. 25
(4 1 1), d 2.744, 2θ 32.6, rel. 100
(4 0 2), d 2.249, 2θ 40.1, rel. 16
(0 2 2), d 1.964, 2θ 46.2, rel. 28
(4 3 1), d 1.599, 2θ 57.7, rel. 20
(4 1 3), d 1.595, 2θ 57.8, rel. 19
(8 2 0), d 1.578, 2θ 58.5, rel. 16
(8 2 2), d 1.372, 2θ 68.4, rel. 13

Cell and atoms:
Unit cell a=15.342 b=5.564 c=5.544 alpha=90.00 beta=90.00 gamma=90.00
Space group Amm2 (No. 38)
Symmetry-distinct sites (fractional):
Sr 0.142 0.000 0.000 x4
Cu 0.268 0.000 0.503 x4
Ru 0.000 0.000 0.480 x2
Pb 0.377 0.000 0.004 x4
Cl 0.500 0.000 0.504 x2
O 0.000 0.235 0.220 x4
O 0.127 0.000 0.515 x4
O 0.280 0.250 0.253 x8

***

# 6
CuPb5Se4Cl4O12: computed powder X-ray diffraction pattern (Cu Kα X-rays), based on DFT lattice parameters and positions (GGA-PBE).
Peak positions follow from Bragg's law for the DFT cell and can differ from measured ones.

Main lines, in order of rising 2θ (10 to 80 degrees two-theta):
(0 0 2), d 7.069, 2θ 12.5, rel. 32
(3 1 -2), d 4.045, 2θ 22.0, rel. 44
(5 1 0), d 3.687, 2θ 24.1, rel. 61
(5 1 2), d 3.099, 2θ 28.8, rel. 100
(8 0 -2), d 3.053, 2θ 29.3, rel. 31
(1 1 -4), d 3.012, 2θ 29.7, rel. 29
(6 0 -4), d 2.972, 2θ 30.1, rel. 16
(3 1 -4), d 2.951, 2θ 30.3, rel. 53
(0 2 0), d 2.761, 2θ 32.4, rel. 37
(1 1 -6), d 2.191, 2θ 41.2, rel. 16
(8 2 -2), d 2.048, 2θ 44.2, rel. 21
(13 1 0), d 1.802, 2θ 50.7, rel. 19

Cell and atoms:
Unit cell a=25.220 b=5.521 c=14.388 alpha=90.00 beta=100.69 gamma=90.00
Space group C2/c (No. 15)
Symmetry-distinct sites (fractional):
Cu 0.000 0.000 0.000 x4
Pb 0.000 0.065 0.250 x4
Pb 0.111 0.441 0.676 x8
Pb 0.231 0.015 0.131 x8
Se 0.045 0.489 0.917 x8
Se 0.163 0.003 0.323 x8
Cl 0.113 0.032 0.538 x8
Cl 0.208 0.489 0.042 x8
O 0.001 0.236 0.893 x8
O 0.007 0.291 0.086 x8
O 0.064 0.446 0.312 x8
O 0.099 0.058 0.761 x8
O 0.185 0.239 0.261 x8
O 0.194 0.239 0.775 x8

***

# 7
Cu3Se2Cl2O6: computed powder X-ray diffraction pattern (Cu Kα X-rays), based on DFT lattice parameters and positions (GGA-PBE).
Peak positions follow from Bragg's law for the DFT cell and can differ from measured ones.

Main lines, in order of rising 2θ (10 to 80 degrees two-theta):
(0 0 1), d 7.453, 2θ 11.9, rel. 58
(0 0 2), d 3.727, 2θ 23.9, rel. 27
(2 0 1), d 3.330, 2θ 26.8, rel. 100
(0 2 0), d 3.124, 2θ 28.6, rel. 73
(3 1 -2), d 2.483, 2θ 36.2, rel. 61
(1 1 -3), d 2.404, 2θ 37.4, rel. 43
(2 2 1), d 2.278, 2θ 39.6, rel. 38
(5 1 -1), d 1.737, 2θ 52.7, rel. 22
(4 0 2), d 1.665, 2θ 55.1, rel. 13
(3 3 -2), d 1.651, 2θ 55.7, rel. 22
(1 3 -3), d 1.627, 2θ 56.6, rel. 18
(5 3 -1), d 1.365, 2θ 68.8, rel. 14

Cell and atoms:
Unit cell a=9.063 b=6.248 c=7.814 alpha=90.00 beta=107.47 gamma=90.00
Space group C2/m (No. 12)
Symmetry-distinct sites (fractional):
Cu 0.000 0.000 0.000 x2
Cu 0.069 0.500 0.822 x4
Se 0.167 0.000 0.740 x4
Cl 0.208 0.500 0.632 x4
O 0.078 0.190 0.851 x8
O 0.146 0.500 0.130 x4

***

# 8
Cu5SeCl5O4: computed powder X-ray diffraction pattern (Cu Kα X-rays), based on DFT lattice parameters and positions (GGA-PBE).
Peak positions follow from Bragg's law for the DFT cell and can differ from measured ones.

Main lines, in order of rising 2θ (10 to 80 degrees two-theta):
(0 1 1), d 5.289, 2θ 16.8, rel. 46
(1 1 1), d 4.582, 2θ 19.4, rel. 100
(1 0 2), d 4.250, 2θ 20.9, rel. 51
(2 1 1), d 3.490, 2θ 25.5, rel. 34
(0 2 0), d 3.160, 2θ 28.2, rel. 92
(3 0 -1), d 3.007, 2θ 29.7, rel. 75
(1 2 -1), d 2.868, 2θ 31.2, rel. 30
(1 2 1), d 2.854, 2θ 31.3, rel. 36
(1 1 3), d 2.726, 2θ 32.9, rel. 26
(0 0 4), d 2.414, 2θ 37.2, rel. 38
(4 0 -1), d 2.300, 2θ 39.2, rel. 31
(5 2 0), d 1.617, 2θ 56.9, rel. 31

Cell and atoms:
Unit cell a=9.415 b=6.321 c=9.661 alpha=90.00 beta=91.55 gamma=90.00
Space group P2_1 (No. 4)
Symmetry-distinct sites (fractional):
Cu 0.000 0.000 0.000 x2
Cu 0.107 0.250 0.273 x2
Cu 0.125 0.750 0.486 x2
Cu 0.283 0.248 0.996 x2
Cu 0.409 0.615 0.292 x2
Se 0.240 0.750 0.819 x2
Cl 0.122 0.749 0.253 x2
Cl 0.124 0.250 0.507 x2
Cl 0.354 0.264 0.241 x2
Cl 0.369 0.746 0.499 x2
Cl 0.492 0.250 0.896 x2
O 0.090 0.250 0.073 x2
O 0.103 0.750 0.691 x2
O 0.187 0.535 0.918 x2
O 0.187 0.964 0.918 x2